For ErGa6Co, a cell relaxed with PBE gives the computed powder XRD pattern in this record (Cu Kα X-rays).
Peak positions follow from Bragg's law for the DFT cell and can differ from measured ones.

The 10 most intense peaks (2θ = 5–70°), in order of falling intensity:
Position (°2θ), I (rel.)
38.2, 100
38.9, 48
46.0, 20
27.2, 20
36.9, 14
70.0, 12
61.8, 11
48.0, 10
15.1, 8
62.1, 7

Atomic structure:
```
16
Lattice="3.946 0.000 0.000 0.000 7.575 0.000 0.000 0.000 9.270" Properties=species:S:1:pos:R:3 pbc="T T T"
Er 0.000 0.000 0.000
Er 0.000 3.788 4.635
Ga 0.000 1.761 2.420
Ga 0.000 2.027 7.055
Ga 0.000 5.548 7.055
Ga 0.000 5.815 2.420
Ga 1.973 0.000 2.186
Ga 1.973 0.000 7.094
Ga 1.973 1.398 4.578
Ga 1.973 2.389 9.213
Ga 1.973 3.788 2.459
Ga 1.973 3.788 6.821
Ga 1.973 5.186 9.213
Ga 1.973 6.177 4.578
Co 0.000 0.000 5.636
Co 0.000 3.788 1.001
```

***

For Pm6Pb3C2, a cell relaxed with PBE gives the computed powder XRD pattern in this record (Cu Kα X-rays).
Peak positions follow from Bragg's law for the DFT cell and can differ from measured ones.

The 10 most intense peaks (2θ = 5–70°), in order of falling intensity:
Position (°2θ), I (rel.)
32.9, 100
36.3, 53
63.2, 40
26.4, 32
52.3, 19
18.2, 17
29.0, 17
51.0, 14
30.1, 14
34.6, 11

Atomic structure:
```
11
Lattice="-2.475 2.475 12.977 2.475 -2.475 12.977 2.475 2.475 -12.977" Properties=species:S:1:pos:R:3 pbc="T T T"
Pm 2.475 0.000 2.203
Pm 0.000 0.000 5.082
Pm 2.475 0.000 10.774
Pm 0.000 2.475 2.203
Pm 0.000 0.000 20.871
Pm 0.000 2.475 10.774
Pb 0.000 0.000 8.380
Pb 0.000 0.000 12.977
Pb 0.000 0.000 17.573
C 0.000 0.000 2.746
C 0.000 0.000 23.207
```

***

For Ac2MoSe6, a cell relaxed with PBE gives the computed powder XRD pattern in this record (Cu Kα X-rays).
Peak positions follow from Bragg's law for the DFT cell and can differ from measured ones.

The 10 most intense peaks (2θ = 5–70°), in order of falling intensity:
Position (°2θ), I (rel.)
37.3, 100
24.2, 83
35.8, 81
36.0, 73
31.1, 71
36.7, 70
37.8, 64
20.2, 62
29.1, 56
19.8, 54

Atomic structure:
```
18
Lattice="6.456 0.000 0.000 0.000 7.944 0.000 -6.173 0.000 9.630" Properties=species:S:1:pos:R:3 pbc="T T T"
Ac -0.285 0.844 2.494
Ac -3.371 3.128 7.309
Ac 3.654 4.816 2.320
Ac 0.567 7.100 7.135
Mo 3.228 0.000 0.000
Mo 0.141 3.972 4.815
Se -5.124 1.324 9.250
Se -2.038 2.648 4.435
Se -4.039 5.666 9.256
Se -0.952 6.250 4.441
Se -2.525 0.109 7.115
Se 0.562 3.863 2.300
Se -0.279 4.081 7.329
Se 2.807 7.835 2.514
Se 1.235 1.694 5.189
Se 4.322 2.278 0.374
Se 2.320 5.296 5.195
Se 5.407 6.620 0.380
```

***

For Tb14NdSc, a cell relaxed with PBE gives the computed powder XRD pattern in this record (Cu Kα X-rays).
Peak positions follow from Bragg's law for the DFT cell and can differ from measured ones.

The 10 most intense peaks (2θ = 5–70°), in order of falling intensity:
Position (°2θ), I (rel.)
32.9, 100
30.0, 37
31.2, 33
61.2, 29
51.3, 25
56.6, 21
37.4, 20
62.3, 16
28.9, 10
49.5, 9

Atomic structure:
```
16
Lattice="11.479 0.000 0.000 0.000 3.561 6.178 0.000 -3.561 6.178" Properties=species:S:1:pos:R:3 pbc="T T T"
Tb 0.000 0.000 0.000
Tb 0.000 -1.772 3.090
Tb 0.000 1.772 3.090
Tb 0.000 0.000 6.168
Tb 2.835 0.000 8.232
Tb 2.892 -1.768 5.143
Tb 2.892 1.768 5.143
Tb 2.910 0.000 2.073
Tb 5.739 -1.769 7.213
Tb 5.739 1.769 7.213
Tb 8.569 0.000 2.073
Tb 8.587 -1.768 5.143
Tb 8.587 1.768 5.143
Tb 8.644 0.000 8.232
Nd 5.739 0.000 10.280
Sc 5.739 0.000 4.119
```

***

For IrS2Br, a cell relaxed with PBE gives the computed powder XRD pattern in this record (Cu Kα X-rays).
Peak positions follow from Bragg's law for the DFT cell and can differ from measured ones.

The 10 most intense peaks (2θ = 5–70°), in order of falling intensity:
Position (°2θ), I (rel.)
11.7, 100
30.6, 35
18.8, 22
38.5, 18
48.5, 15
41.1, 15
23.2, 14
26.3, 12
44.3, 10
33.2, 10

Atomic structure:
```
16
Lattice="15.713 0.000 0.000 0.000 3.519 0.000 -5.645 0.000 7.540" Properties=species:S:1:pos:R:3 pbc="T T T"
Ir 0.000 0.000 0.000
Ir -0.056 0.000 4.877
Ir 7.857 1.759 0.000
Ir 7.801 1.759 4.877
S -4.245 1.759 7.131
S -0.881 0.000 6.945
S 1.415 1.759 5.308
S 6.320 0.000 0.722
S 3.611 0.000 7.131
S 6.976 1.759 6.945
S 9.271 0.000 5.308
S 14.176 1.759 0.722
Br -1.831 1.759 4.200
Br 1.039 0.000 2.469
Br 6.025 0.000 4.200
Br 8.896 1.759 2.469
```

***

For SrMnP2S8, a cell relaxed with PBE gives the computed powder XRD pattern in this record (Cu Kα X-rays).
Peak positions follow from Bragg's law for the DFT cell and can differ from measured ones.

The 10 most intense peaks (2θ = 5–70°), in order of falling intensity:
Position (°2θ), I (rel.)
32.3, 100
37.3, 96
27.4, 71
53.2, 55
54.2, 53
17.5, 46
30.5, 43
31.5, 41
20.4, 35
41.4, 30

Atomic structure:
```
12
Lattice="5.860 0.000 0.000 -2.930 5.075 0.000 0.000 0.000 8.508" Properties=species:S:1:pos:R:3 pbc="T T T"
Sr 0.000 0.000 0.000
Mn 0.000 0.000 4.254
P 0.000 3.383 6.219
P 2.930 1.692 2.289
S -1.986 3.488 2.809
S 0.902 1.611 2.809
S 1.846 0.024 5.699
S 0.000 3.383 8.227
S 2.930 1.692 0.281
S 1.084 5.051 2.809
S 2.028 3.464 5.699
S 4.916 1.587 5.699
```

***

- Which formula does entry 2 have?
  Pm6Pb3C2